No. 1
This entry pairs a crystal structure of Rb6Hg3O with its simulated powder diffraction line list. Radiation: Cu Ka. Structure: a DFT-relaxed cell (PBE, Alexandria).
No peak broadening, texture or thermal motion is included.

Most intense lines, 2θ from 10° to 90°, most intense first:
Position (°2θ)	I (rel.)	(hkl)
27.89	100	2 1 1
15.72	64	0 2 0
25.58	45	0 3 1
18.62	41	1 1 1
29.91	40	2 1 -3
29.21	31	1 3 1
48.77	31	2 5 1
10.71	30	1 0 0
31.15	30	2 3 -1
42.22	28	3 3 -3

Cell and atoms:
```
Rb6Hg3O
1.0
8.9238 0.0000 0.0000
0.0000 11.2732 0.0000
-3.7814 0.0000 9.2700
Rb Hg O
12 6 2
direct
0.0579 0.0005 0.2854
0.0579 0.4995 0.7854
0.2564 0.6721 0.5545
0.2564 0.8279 0.0545
0.2573 0.1714 0.0539
0.2573 0.3286 0.5539
0.7427 0.6714 0.4461
0.7427 0.8286 0.9461
0.7436 0.1721 0.9455
0.7436 0.3279 0.4455
0.9421 0.5005 0.2146
0.9421 0.9995 0.7146
0.3548 0.0008 0.7231
0.3548 0.4992 0.2231
0.5000 0.0000 0.5000
0.5000 0.5000 0.0000
0.6452 0.5008 0.7769
0.6452 0.9992 0.2769
0.0000 0.0000 0.0000
0.0000 0.5000 0.5000
```


No. 2
This entry pairs a crystal structure of ZnCdTeO with its simulated powder diffraction line list. Radiation: Cu Ka. Structure: a DFT-relaxed cell (PBE, Alexandria).
No peak broadening, texture or thermal motion is included.

Most intense lines, 2θ from 10° to 90°, most intense first:
Position (°2θ)	I (rel.)	(hkl)
26.63	100	0 1 1
20.12	76	1 0 -1
19.48	64	1 0 0
36.19	63	1 1 1
37.27	63	1 1 -2
37.17	45	2 0 -1
14.85	40	0 0 1
21.98	37	0 1 0
28.39	33	1 0 1
29.72	30	1 0 -2

Cell and atoms:
```
ZnCdTeO
1.0
4.8427 0.0000 0.0000
0.0000 4.0438 0.0000
-2.1486 0.0000 5.9672
Zn Cd Te O
1 1 1 1
direct
0.0000 0.0000 0.0000
0.2397 0.5000 0.4617
0.8601 0.5000 0.7328
0.1721 0.0000 0.3086
```


No. 3
This entry pairs a crystal structure of NaLi2Tl7 with its simulated powder diffraction line list. Radiation: Cu Ka. Structure: a DFT-relaxed cell (PBE, Alexandria).
No peak broadening, texture or thermal motion is included.

Most intense lines, 2θ from 10° to 90°, most intense first:
Position (°2θ)	I (rel.)	(hkl)
35.02	100	1 1 0
29.77	91	0 1 3
24.80	64	0 1 2
35.68	33	0 1 4
46.61	27	2 0 3
59.61	26	1 2 3
21.30	23	1 0 1
42.21	19	1 0 5
62.83	19	3 0 0
64.57	18	1 1 7

Cell and atoms:
```
NaLi2Tl7
1.0
5.1239 0.0000 0.0000
-2.5619 4.4374 0.0000
0.0000 0.0000 12.2216
Na Li Tl
1 2 7
direct
0.0000 0.0000 0.0000
0.3333 0.6667 0.7855
0.6667 0.3333 0.3987
0.0000 0.0000 0.3239
0.0000 0.0000 0.7219
0.3333 0.6667 0.0960
0.3333 0.6667 0.4742
0.6667 0.3333 0.1763
0.6667 0.3333 0.6214
0.6667 0.3333 0.8906
```